Computed X-ray diffraction stick pattern of TiW2O8 for CuKα, from a DFT-relaxed cell (PBE+U, the Materials Project).
Kinematic intensities with the Lorentz-polarization factor, no thermal factor.

```
data_TiW2O8
_chemical_formula_sum 'Ti1 W2 O8'
_space_group_name_H-M_alt 'P -1'
_space_group_IT_number 2
_cell_length_a 5.023
_cell_length_b 5.231
_cell_length_c 6.887
_cell_angle_alpha 108.44
_cell_angle_beta 91.69
_cell_angle_gamma 105.11
loop_
_space_group_symop_operation_xyz
'x,y,z'
'-x,-y,-z'
loop_
_atom_site_label
_atom_site_fract_x
_atom_site_fract_y
_atom_site_fract_z
Ti1 0.000 0.000 0.000
W1 0.255 0.473 0.820
O1 0.093 0.771 0.155
O2 0.131 0.752 0.769
O3 0.332 0.289 0.584
O4 0.368 0.289 0.035
```

Peak list (10 most intense, 10° ≤ 2θ ≤ 90°, low angle first)
2θ = 13.66°, intensity 100
2θ = 18.65°, intensity 91
2θ = 21.61°, intensity 54
2θ = 23.93°, intensity 32
2θ = 24.34°, intensity 78
2θ = 27.57°, intensity 31
2θ = 28.25°, intensity 50
2θ = 29.13°, intensity 43
2θ = 38.76°, intensity 30
2θ = 39.69°, intensity 30